Theoretical powder diffraction line list of NaNp4 for Cu Kα (weighted mean of Kα1 and Kα2), from a PBE-relaxed structure.

Atomic structure:
```
NaNp4
1.0
5.388 0.000 0.000
0.000 5.388 0.000
0.000 0.000 5.388
Na Np
1 4
Cartesian
0.000 0.000 0.000 Na
0.000 0.000 2.694 Np
0.000 2.694 0.000 Np
2.694 0.000 0.000 Np
2.694 2.694 2.694 Np
```

Principal peaks in the range 15° ≤ 2θ ≤ 90°, sorted by position:
(hkl), d (Å), intensity
1 1 1, 3.111, 100
2 0 0, 2.694, 57
2 2 0, 1.905, 43
3 1 1, 1.625, 47
2 2 2, 1.556, 15
4 0 0, 1.347, 7
3 3 1, 1.236, 20
4 2 0, 1.205, 20
4 2 2, 1.100, 16

Theoretical powder diffraction line list of Na2NpO4 for Cu Kα (weighted mean of Kα1 and Kα2), from a PBE-relaxed structure.

Atomic structure:
```
Na2NpO4
1.0
5.759 0.000 0.000
0.000 9.903 0.000
0.000 0.000 3.487
Na Np O
4 2 8
Cartesian
0.341 1.820 0.000 Na
2.539 6.772 0.000 Na
3.220 3.131 0.000 Na
5.419 8.083 0.000 Na
0.000 4.952 1.743 Np
2.880 0.000 1.743 Np
0.806 6.695 1.743 O
1.208 4.430 0.000 O
1.671 9.381 0.000 O
2.074 1.744 1.743 O
3.686 8.160 1.743 O
4.088 0.522 0.000 O
4.551 5.474 0.000 O
4.953 3.208 1.743 O
```

Principal peaks in the range 15° ≤ 2θ ≤ 90°, sorted by position:
(hkl), d (Å), intensity
1 1 0, 4.971, 100
0 0 1, 3.487, 9
2 0 0, 2.880, 9
1 3 0, 2.859, 67
0 2 1, 2.851, 16
2 2 0, 2.489, 8
1 3 1, 2.213, 9
2 2 1, 2.026, 21
3 3 0, 1.659, 14
0 6 0, 1.652, 11
1 5 1, 1.650, 11
1 1 2, 1.645, 10